Entry 1:
This entry pairs a crystal structure of Tb2Ho8In3 with its simulated powder X-ray diffraction pattern. Radiation: Cu Ka. Structure: the PBE geometry in Alexandria.
No peak broadening, texture or thermal motion is included.

Largest 10 diffraction maxima, low angle first, 10° ≤ 2θ ≤ 90°:
d [Å]	2theta	I (rel.)
3.187	28.00	39
3.073	29.06	37
2.745	32.62	94
2.726	32.86	100
2.631	34.08	34
2.566	34.97	52
2.459	36.54	36
2.412	37.29	55
1.742	52.54	48
1.594	57.87	44

Structural model:
a b c (Å): 12.170 12.170 12.170
angles (deg): 30.36 30.36 30.36
Fractional coordinates of all 13 atoms:
Tb1 0.137 0.137 0.137
Tb2 0.863 0.863 0.863
Ho1 0.219 0.219 0.721
Ho2 0.219 0.721 0.219
Ho3 0.226 0.226 0.226
Ho4 0.279 0.781 0.781
Ho5 0.721 0.219 0.219
Ho6 0.774 0.774 0.774
Ho7 0.781 0.279 0.781
Ho8 0.781 0.781 0.279
In1 0.312 0.312 0.312
In2 0.500 0.500 0.500
In3 0.688 0.688 0.688


Entry 2:
This entry pairs a crystal structure of La2YHo5 with its simulated powder X-ray diffraction pattern. Radiation: Cu Ka. Structure: the PBE geometry in Alexandria.
No peak broadening, texture or thermal motion is included.

Largest 10 diffraction maxima, low angle first, 10° ≤ 2θ ≤ 90°:
d [Å]	2theta	I (rel.)
2.931	30.50	100
2.546	35.25	17
2.534	35.42	34
1.796	50.83	24
1.792	50.96	12
1.534	60.34	14
1.529	60.56	28
1.465	63.48	12
1.165	82.83	12
1.134	85.65	8

Structural model:
a b c (Å): 7.167 14.339 5.092
angles (deg): 90.00 90.00 90.00
Fractional coordinates of all 16 atoms:
La1 0.249 0.126 0.000
La2 0.251 0.626 0.000
La3 0.749 0.374 0.000
La4 0.751 0.874 0.000
Y1 0.000 0.500 0.500
Y2 0.500 0.000 0.500
Ho1 0.000 0.000 0.500
Ho2 0.000 0.249 0.500
Ho3 0.000 0.751 0.500
Ho4 0.249 0.875 0.000
Ho5 0.251 0.375 0.000
Ho6 0.500 0.251 0.500
Ho7 0.500 0.500 0.500
Ho8 0.500 0.749 0.500
Ho9 0.749 0.625 0.000
Ho10 0.751 0.125 0.000